[1]
Structure and calculated X-ray powder pattern of PrPuNi17 (a crystal structure in Alexandria, relaxed with PBE; Cu Kα).
No peak broadening, texture or thermal motion is included.

Peak list (8 most intense, 10 to 90 degrees two-theta, in order of falling intensity)
d 2.066, 43.81°, I 100; d 2.084, 43.43°, I 62; d 2.899, 30.85°, I 44; d 2.406, 37.38°, I 43; d 2.018, 44.93°, I 31; d 2.319, 38.84°, I 28; d 1.174, 82.09°, I 18; d 1.449, 64.27°, I 18

Structure:
```
data_PrPuNi17
_chemical_formula_sum 'Pr3 Pu3 Ni51'
_cell_length_a 8.3342
_cell_length_b 8.3342
_cell_length_c 12.1052
_cell_angle_alpha 90.00
_cell_angle_beta 90.00
_cell_angle_gamma 120.00
_symmetry_space_group_name_H-M 'R 3 m'
_symmetry_Int_Tables_number 160
_symmetry_space_group_name_Hall 'R 3 -2"'
loop_
_atom_site_label
_atom_site_type_symbol
_atom_site_fract_x
_atom_site_fract_y
_atom_site_fract_z
_atom_site_occupancy
Pr1 Pr 0.0000 0.0000 0.0000 1
Pu1 Pu 0.0000 0.0000 0.6792 1
Ni1 Ni 0.0000 0.0000 0.2440 1
Ni2 Ni 0.0000 0.0000 0.4410 1
Ni3 Ni 0.0014 0.2930 0.3409 1
Ni4 Ni 0.0008 0.5004 0.4943 1
Ni5 Ni 0.0034 0.5017 0.1865 1
Ni6 Ni 0.1671 0.3342 0.1745 1
```

[2]
Structure and calculated X-ray powder pattern of HoErNi2Ge2 (a crystal structure in Alexandria, relaxed with PBE; Cu Kα).
No peak broadening, texture or thermal motion is included.

Peak list (8 most intense, 10 to 90 degrees two-theta, in order of falling intensity)
d 2.534, 35.42°, I 100; d 2.101, 43.06°, I 49; d 1.617, 56.94°, I 25; d 1.282, 73.96°, I 23; d 1.352, 69.55°, I 23; d 3.639, 24.46°, I 20; d 1.765, 51.78°, I 9; d 1.213, 78.93°, I 8

Structure:
```
data_HoErNi2Ge2
_chemical_formula_sum 'Ho1 Er1 Ni2 Ge2'
_cell_length_a 4.2017
_cell_length_b 4.2017
_cell_length_c 7.0620
_cell_angle_alpha 90.00
_cell_angle_beta 90.00
_cell_angle_gamma 120.00
_symmetry_space_group_name_H-M 'P -3 m 1'
_symmetry_Int_Tables_number 164
_symmetry_space_group_name_Hall '-P 3 2"'
loop_
_atom_site_label
_atom_site_type_symbol
_atom_site_fract_x
_atom_site_fract_y
_atom_site_fract_z
_atom_site_occupancy
Ho1 Ho 0.0000 0.0000 0.0000 1
Er1 Er 0.0000 0.0000 0.5000 1
Ni1 Ni 0.3333 0.6667 0.7445 1
Ge1 Ge 0.3333 0.6667 0.2532 1
```

[3]
Structure and calculated X-ray powder pattern of SrAc4S5 (a crystal structure in Alexandria, relaxed with PBE; Cu Kα).
No peak broadening, texture or thermal motion is included.

Peak list (8 most intense, 10 to 90 degrees two-theta, in order of falling intensity)
d 3.040, 29.38°, I 100; d 3.510, 25.37°, I 95; d 2.150, 42.03°, I 76; d 1.833, 49.74°, I 50; d 1.359, 69.09°, I 35; d 1.755, 52.11°, I 27; d 1.241, 76.81°, I 26; d 1.395, 67.11°, I 21

Structure:
```
data_SrAc4S5
_chemical_formula_sum 'Sr2 Ac8 S10'
_cell_length_a 9.609
_cell_length_b 9.609
_cell_length_c 6.085
_cell_angle_alpha 90.00
_cell_angle_beta 90.00
_cell_angle_gamma 90.00
_symmetry_space_group_name_H-M 'I 4/m'
_symmetry_Int_Tables_number 87
_symmetry_space_group_name_Hall '-I 4'
loop_
_atom_site_label
_atom_site_type_symbol
_atom_site_fract_x
_atom_site_fract_y
_atom_site_fract_z
_atom_site_occupancy
Sr1 Sr 0.000 0.000 0.000 1
Ac1 Ac 0.100 0.301 0.500 1
S1 S 0.000 0.000 0.500 1
S2 S 0.099 0.296 0.000 1
```